# TmZrTa2Ge2
Calculated powder XRD pattern, Cu Kα. Input: a GGA-PBE-relaxed structure.
Neutral-atom scattering factors, no anomalous dispersion.

Crystal structure
a = 8.0821 Å, b = 8.0821 Å, c = 8.0821 Å
α = 151.81°, β = 151.81°, γ = 40.29°
Positions (direct):
Tm 0.0000 0.0000 0.0000
Zr 0.3509 0.3509 0.0000
Ta 0.1790 0.6790 0.5000
Ta 0.6790 0.1790 0.5000
Ge 0.5467 0.5467 0.0000
Ge 0.8108 0.8108 0.0000

Most intense lines, 2θ from 15° to 90°, by angle:
2θ = 34.32°, intensity 100
2θ = 35.49°, intensity 33
2θ = 37.42°, intensity 21
2θ = 40.18°, intensity 78
2θ = 46.12°, intensity 46
2θ = 58.92°, intensity 14
2θ = 59.51°, intensity 30
2θ = 67.27°, intensity 15
2θ = 77.74°, intensity 19
2θ = 81.35°, intensity 20

=====

# Fe2BPb
Calculated powder XRD pattern, Cu Kα. Input: a GGA-PBE-relaxed structure.
Neutral-atom scattering factors, no anomalous dispersion.

Crystal structure
a = 5.8984 Å, b = 5.8984 Å, c = 5.8984 Å
α = 90.00°, β = 90.00°, γ = 90.00°
Positions (direct):
Fe 0.2029 0.2029 0.2029
Fe 0.2029 0.2029 0.7971
Fe 0.2029 0.7971 0.2029
Fe 0.2029 0.7971 0.7971
Fe 0.7971 0.2029 0.2029
Fe 0.7971 0.2029 0.7971
Fe 0.7971 0.7971 0.2029
Fe 0.7971 0.7971 0.7971
B 0.0000 0.0000 0.0000
B 0.0000 0.0000 0.5000
B 0.0000 0.5000 0.0000
B 0.5000 0.0000 0.0000
Pb 0.0000 0.5000 0.5000
Pb 0.5000 0.0000 0.5000
Pb 0.5000 0.5000 0.0000
Pb 0.5000 0.5000 0.5000

Most intense lines, 2θ from 15° to 90°, by angle:
2θ = 15.02°, intensity 28
2θ = 26.17°, intensity 30
2θ = 30.31°, intensity 20
2θ = 33.99°, intensity 74
2θ = 43.39°, intensity 100
2θ = 46.17°, intensity 29
2θ = 65.22°, intensity 23
2θ = 71.54°, intensity 18
2θ = 79.63°, intensity 24
2θ = 89.47°, intensity 15

=====

# Hf2Zn3Ag
Calculated powder XRD pattern, Cu Kα. Input: a GGA-PBE-relaxed structure.
Neutral-atom scattering factors, no anomalous dispersion.

Crystal structure
a = 3.0999 Å, b = 3.0999 Å, c = 10.7480 Å
α = 90.00°, β = 90.00°, γ = 90.00°
Positions (direct):
Hf 0.0000 0.0000 0.0000
Hf 0.5000 0.5000 0.4924
Zn 0.0000 0.0000 0.3183
Zn 0.5000 0.5000 0.1777
Zn 0.5000 0.5000 0.8286
Ag 0.0000 0.0000 0.6800

Most intense lines, 2θ from 15° to 90°, by angle:
2θ = 16.50°, intensity 10
2θ = 30.00°, intensity 19
2θ = 38.40°, intensity 100
2θ = 41.18°, intensity 42
2θ = 50.98°, intensity 10
2θ = 59.65°, intensity 14
2θ = 67.53°, intensity 17
2θ = 68.18°, intensity 9
2θ = 73.21°, intensity 29
2θ = 82.25°, intensity 10

=====

# LuGe2Mo
Calculated powder XRD pattern, Cu Kα. Input: a GGA-PBE-relaxed structure.
Neutral-atom scattering factors, no anomalous dispersion.

Crystal structure
a = 4.7067 Å, b = 4.7067 Å, c = 4.7067 Å
α = 60.00°, β = 60.00°, γ = 60.00°
Positions (direct):
Lu 0.0000 0.0000 0.0000
Ge 0.2500 0.2500 0.2500
Ge 0.5000 0.5000 0.5000
Mo 0.7500 0.7500 0.7500

Most intense lines, 2θ from 15° to 90°, by angle:
2θ = 23.14°, intensity 14
2θ = 26.79°, intensity 4
2θ = 38.24°, intensity 100
2θ = 45.18°, intensity 7
2θ = 55.20°, intensity 17
2θ = 60.64°, intensity 3
2θ = 69.14°, intensity 34
2θ = 74.00°, intensity 2
2θ = 81.87°, intensity 11
2θ = 86.50°, intensity 2